[1]
Theoretical powder diffraction line list of Tm11Ga9Ni4 for Cu Kα, 1.54184 Å, from a cell relaxed with GGA-PBE.

Structural model:
```
Tm11Ga9Ni4
1.0
6.8013 -10.2234 0.0000
6.8013 10.2234 0.0000
0.0000 0.0000 3.5056
Tm Ga Ni
11 9 4
Cartesian
0.0000 0.0000 0.0000 Tm
3.2927 3.4851 0.0000 Tm
6.8013 6.8515 0.0000 Tm
4.1940 0.0000 0.0000 Tm
6.8013 2.5796 0.0000 Tm
3.2927 -3.4851 0.0000 Tm
10.3099 3.4851 0.0000 Tm
6.8013 -2.5796 0.0000 Tm
9.4087 0.0000 0.0000 Tm
6.8013 -6.8515 0.0000 Tm
10.3099 -3.4851 0.0000 Tm
2.0043 1.4377 1.7528 Ga
5.3980 4.7659 1.7528 Ga
2.0043 -1.4377 1.7528 Ga
8.2046 4.7659 1.7528 Ga
6.8013 0.0000 1.7528 Ga
5.3980 -4.7659 1.7528 Ga
11.5984 1.4377 1.7528 Ga
8.2046 -4.7659 1.7528 Ga
11.5984 -1.4377 1.7528 Ga
4.7011 2.0842 1.7528 Ni
4.7011 -2.0842 1.7528 Ni
8.9015 2.0842 1.7528 Ni
8.9015 -2.0842 1.7528 Ni
```

Peak list (10 most intense, 2θ = 15–90°, in order of rising 2θ)
d_spacing, I_rel
3.506, 119
3.404, 213
3.038, 113
2.569, 135
2.442, 1000
2.407, 355
2.296, 201
2.241, 94
1.753, 153
1.417, 137

***

[2]
Theoretical powder diffraction line list of Tm3Ga5Ni6 for Cu Kα, 1.54184 Å, from a cell relaxed with GGA-PBE.

Structural model:
```
Tm3Ga5Ni6
1.0
4.0879 0.0000 0.0000
0.0000 11.9887 0.0000
0.0000 0.0000 8.9206
Tm Ga Ni
6 10 12
Cartesian
1.0220 0.6790 2.2131 Tm
1.0220 5.3154 2.2131 Tm
1.0220 8.9915 2.3967 Tm
3.0659 2.9972 6.5239 Tm
3.0659 6.6733 6.7075 Tm
3.0659 11.3097 6.7075 Tm
1.0220 0.9233 5.2582 Ga
1.0220 5.0710 5.2582 Ga
1.0220 7.3278 8.8264 Ga
1.0220 8.9915 6.7903 Ga
1.0220 10.6552 8.8264 Ga
3.0659 1.3335 0.0942 Ga
3.0659 2.9972 2.1303 Ga
3.0659 4.6609 0.0942 Ga
3.0659 6.9176 3.6624 Ga
3.0659 11.0654 3.6624 Ga
1.0220 1.0464 7.7070 Ni
1.0220 2.9972 0.3795 Ni
1.0220 2.9972 3.8548 Ni
1.0220 4.9479 7.7070 Ni
1.0220 7.6096 4.7965 Ni
1.0220 10.3734 4.7965 Ni
3.0659 1.6153 4.1241 Ni
3.0659 4.3790 4.1241 Ni
3.0659 7.0408 1.2136 Ni
3.0659 8.9915 5.0657 Ni
3.0659 8.9915 8.5411 Ni
3.0659 10.9423 1.2136 Ni
```

Peak list (10 most intense, 2θ = 15–90°, in order of rising 2θ)
d_spacing, I_rel
3.716, 125
2.858, 228
2.488, 137
2.406, 1000
2.386, 241
2.231, 232
2.044, 303
1.998, 128
1.552, 125
1.239, 118

***

[3]
Theoretical powder diffraction line list of Tm3Ga2Ni7 for Cu Kα, 1.54184 Å, from a cell relaxed with GGA-PBE.

Structural model:
```
Tm3Ga2Ni7
1.0
2.5567 1.4761 7.8769
-2.5567 1.4761 7.8769
0.0000 -2.9522 7.8769
Tm Ga Ni
3 2 7
Cartesian
0.0000 0.0000 0.0000 Tm
0.0000 0.0000 3.3191 Tm
0.0000 0.0000 20.3117 Tm
0.0000 0.0000 7.8649 Ga
0.0000 0.0000 15.7659 Ga
-1.2758 -0.7366 9.8371 Ni
0.0000 -1.4732 13.7937 Ni
-1.2758 0.7366 13.7937 Ni
0.0000 0.0000 11.8154 Ni
1.2758 -0.7366 9.8371 Ni
0.0000 1.4732 9.8371 Ni
1.2758 0.7366 13.7937 Ni
```

Peak list (10 most intense, 2θ = 15–90°, in order of rising 2θ)
d_spacing, I_rel
2.685, 455
2.557, 590
2.457, 329
2.204, 381
2.144, 1000
2.005, 137
1.500, 154
1.382, 235
1.342, 225
1.278, 225